(1)
This entry pairs a crystal structure of MnSb2O6 with its computed X-ray powder pattern. Radiation: Cu Kα (weighted mean of Kα1 and Kα2). Structure: a structure optimized by DFT (GGA+U).
Lines closer than 0.1° are merged.

abc: 8.9491 8.9491 4.8062
angles: 90.00 90.00 120.00
Space group P321 (No. 150)
Symmetry-distinct sites (fractional):
Mn 0.0000 0.3669 0.0000 [3 per cell]
Sb 0.0000 0.0000 0.0000 [1 per cell]
Sb 0.0000 0.6950 0.5000 [3 per cell]
Sb 0.3333 0.6667 0.4909 [2 per cell]
O 0.1033 0.2135 0.2362 [6 per cell]
O 0.1171 0.5891 0.2693 [6 per cell]
O 0.2210 0.7754 0.7172 [6 per cell]

Principal peaks in the range 2θ from 15° to 90°, in order of falling intensity:
| index | 2θ/deg | d_spacing | intensity |
| --- | --- | --- | --- |
| 1 1 1 | 27.2 | 3.275 | 1000 |
| 3 0 2 | 52.0 | 1.760 | 735 |
| 3 0 0 | 34.7 | 2.583 | 627 |
| 2 0 1 | 29.6 | 3.017 | 496 |
| 0 1 1 | 21.8 | 4.085 | 341 |
| 1 2 1 | 35.9 | 2.501 | 338 |

***

(2)
This entry pairs a crystal structure of MnSb2O6 with its computed X-ray powder pattern. Radiation: Cu Kα (weighted mean of Kα1 and Kα2). Structure: a structure optimized by DFT (GGA+U).
Lines closer than 0.1° are merged.

abc: 9.236 6.948 7.407
angles: 90.00 110.70 90.00
Space group C2/m (No. 12)
Symmetry-distinct sites (fractional):
Mn 0.161 0.000 0.161 [4 per cell]
Sb 0.000 0.500 0.000 [2 per cell]
Sb 0.000 0.500 0.500 [2 per cell]
Sb 0.172 0.000 0.679 [4 per cell]
O 0.000 0.192 0.500 [4 per cell]
O 0.067 0.000 0.862 [4 per cell]
O 0.095 0.500 0.787 [4 per cell]
O 0.163 0.313 0.160 [8 per cell]
O 0.226 0.500 0.525 [4 per cell]

Principal peaks in the range 2θ from 15° to 90°, in order of falling intensity:
| index | 2θ/deg | d_spacing | intensity |
| --- | --- | --- | --- |
| 3 1 0 | 33.7 | 2.661 | 1000 |
| 0 2 0 | 25.6 | 3.474 | 736 |
| 2 0 -2 | 26.7 | 3.340 | 639 |
| 3 3 0 | 50.6 | 1.805 | 468 |
| 2 2 -2 | 37.4 | 2.408 | 272 |
| 5 1 -2 | 51.8 | 1.765 | 209 |

***

(3)
This entry pairs a crystal structure of Mn3SbO8 with its computed X-ray powder pattern. Radiation: Cu Kα (weighted mean of Kα1 and Kα2). Structure: a structure optimized by DFT (GGA+U).
Lines closer than 0.1° are merged.

abc: 10.420 6.142 6.090
angles: 90.00 125.34 90.00
Space group C2/m (No. 12)
Symmetry-distinct sites (fractional):
Mn 0.000 0.000 0.000 [2 per cell]
Mn 0.250 0.250 0.000 [4 per cell]
Sb 0.000 0.500 0.000 [2 per cell]
O 0.022 0.261 0.800 [8 per cell]
O 0.227 0.000 0.179 [4 per cell]
O 0.241 0.500 0.202 [4 per cell]

Principal peaks in the range 2θ from 15° to 90°, in order of falling intensity:
| index | 2θ/deg | d_spacing | intensity |
| --- | --- | --- | --- |
| 0 0 1 | 17.9 | 4.969 | 1000 |
| 2 2 -2 | 41.8 | 2.162 | 283 |
| 2 2 -1 | 34.4 | 2.607 | 247 |
| 4 0 0 | 42.5 | 2.125 | 132 |
| 0 0 2 | 36.1 | 2.487 | 117 |
| 4 0 -1 | 35.0 | 2.562 | 107 |

***

(4)
This entry pairs a crystal structure of Mn3SbO8 with its computed X-ray powder pattern. Radiation: Cu Kα (weighted mean of Kα1 and Kα2). Structure: a structure optimized by DFT (GGA+U).
Lines closer than 0.1° are merged.

abc: 8.411 8.411 8.711
angles: 90.00 90.00 90.00
Space group P4_32_12 (No. 96)
Symmetry-distinct sites (fractional):
Mn 0.118 0.379 0.251 [8 per cell]
Mn 0.136 0.864 0.750 [4 per cell]
Sb 0.125 0.125 0.500 [4 per cell]
O 0.103 0.148 0.267 [8 per cell]
O 0.110 0.847 0.004 [8 per cell]
O 0.111 0.369 0.480 [8 per cell]
O 0.114 0.632 0.779 [8 per cell]

Principal peaks in the range 2θ from 15° to 90°, in order of falling intensity:
| index | 2θ/deg | d_spacing | intensity |
| --- | --- | --- | --- |
| 1 1 1 | 18.1 | 4.912 | 1000 |
| 4 0 0 | 43.0 | 2.103 | 295 |
| 3 1 1 | 35.3 | 2.544 | 248 |
| 4 0 4 | 61.3 | 1.513 | 168 |
| 0 0 4 | 41.5 | 2.178 | 166 |
| 2 2 2 | 36.6 | 2.456 | 162 |

***

(5)
This entry pairs a crystal structure of MnSb2O6 with its computed X-ray powder pattern. Radiation: Cu Kα (weighted mean of Kα1 and Kα2). Structure: a structure optimized by DFT (GGA+U).
Lines closer than 0.1° are merged.

abc: 6.778 6.787 9.542
angles: 90.00 90.00 90.00
Space group Cmmm (No. 65)
Symmetry-distinct sites (fractional):
Mn 0.000 0.000 0.000 [2 per cell]
Mn 0.000 0.500 0.500 [2 per cell]
Sb 0.000 0.000 0.332 [4 per cell]
Sb 0.000 0.500 0.168 [4 per cell]
O 0.000 0.185 0.500 [4 per cell]
O 0.000 0.201 0.176 [8 per cell]
O 0.185 0.500 0.000 [4 per cell]
O 0.201 0.500 0.324 [8 per cell]

Principal peaks in the range 2θ from 15° to 90°, in order of falling intensity:
| index | 2θ/deg | d_spacing | intensity |
| --- | --- | --- | --- |
| 2 0 0 | 26.3 | 3.391 | 1000 |
| 1 1 3 | 33.8 | 2.651 | 749 |
| 3 1 3 | 51.4 | 1.778 | 648 |
| 2 2 0 | 37.5 | 2.398 | 198 |
| 3 3 3 | 65.3 | 1.428 | 198 |
| 4 0 0 | 54.1 | 1.696 | 165 |

***

(6)
This entry pairs a crystal structure of MnSb2O6 with its computed X-ray powder pattern. Radiation: Cu Kα (weighted mean of Kα1 and Kα2). Structure: a structure optimized by DFT (GGA+U).
Lines closer than 0.1° are merged.

abc: 5.2830 5.2830 4.7506
angles: 90.00 90.00 120.00
Space group P-31m (No. 162)
Symmetry-distinct sites (fractional):
Mn 0.0000 0.0000 0.0000 [1 per cell]
Sb 0.3333 0.6667 0.5000 [2 per cell]
O 0.0000 0.3579 0.2701 [6 per cell]

Principal peaks in the range 2θ from 15° to 90°, in order of falling intensity:
| index | 2θ/deg | d_spacing | intensity |
| --- | --- | --- | --- |
| 1 0 1 | 27.1 | 3.295 | 1000 |
| 1 1 2 | 51.8 | 1.766 | 580 |
| 1 1 0 | 33.9 | 2.641 | 532 |
| 0 0 1 | 18.7 | 4.751 | 504 |
| 1 1 1 | 39.0 | 2.309 | 457 |
| 2 0 1 | 43.9 | 2.061 | 251 |

***

(7)
This entry pairs a crystal structure of Mn9Zn6Si4Sb2O28 with its computed X-ray powder pattern. Radiation: Cu Kα (weighted mean of Kα1 and Kα2). Structure: a structure optimized by DFT (GGA+U).
Lines closer than 0.1° are merged.

abc: 5.604 9.322 11.831
angles: 86.83 76.35 79.12
Space group P-1 (No. 2)
Symmetry-distinct sites (fractional):
Mn 0.000 0.000 0.000 [1 per cell]
Mn 0.078 0.358 0.283 [2 per cell]
Mn 0.280 0.002 0.425 [2 per cell]
Mn 0.363 0.349 0.708 [2 per cell]
Mn 0.426 0.005 0.144 [2 per cell]
Zn 0.052 0.674 0.427 [2 per cell]
Zn 0.203 0.665 0.138 [2 per cell]
Zn 0.341 0.660 0.862 [2 per cell]
Si 0.243 0.308 0.997 [2 per cell]
Si 0.479 0.687 0.576 [2 per cell]
Sb 0.139 0.999 0.720 [2 per cell]
O 0.018 0.592 0.285 [2 per cell]
O 0.031 0.106 0.583 [2 per cell]
O 0.060 0.645 0.999 [2 per cell]
O 0.117 0.124 0.286 [2 per cell]
O 0.118 0.886 0.154 [2 per cell]
O 0.220 0.359 0.436 [2 per cell]
O 0.268 0.882 0.848 [2 per cell]
O 0.309 0.128 0.995 [2 per cell]
O 0.311 0.367 0.112 [2 per cell]
O 0.331 0.611 0.697 [2 per cell]
O 0.391 0.651 0.460 [2 per cell]
O 0.407 0.871 0.589 [2 per cell]
O 0.414 0.112 0.709 [2 per cell]
O 0.418 0.374 0.879 [2 per cell]

Principal peaks in the range 2θ from 15° to 90°, in order of falling intensity:
| index | 2θ/deg | d_spacing | intensity |
| --- | --- | --- | --- |
| 0 3 0 | 29.3 | 3.051 | 1000 |
| 1 0 4 | 31.7 | 2.820 | 499 |
| 3 1 5 | 56.7 | 1.624 | 437 |
| -1 1 3 | 34.0 | 2.635 | 428 |
| 1 2 -3 | 35.8 | 2.505 | 410 |
| 1 -1 4 | 34.3 | 2.615 | 390 |

***

(8)
This entry pairs a crystal structure of SmMnSbO with its computed X-ray powder pattern. Radiation: Cu Kα (weighted mean of Kα1 and Kα2). Structure: a structure optimized by DFT (GGA+U).
Lines closer than 0.1° are merged.

abc: 4.209 4.209 9.667
angles: 90.00 90.00 90.00
Space group P4/nmm (No. 129, origin choice 2)
Symmetry-distinct sites (fractional):
Sm 0.250 0.250 0.110 [2 per cell]
Mn 0.250 0.750 0.500 [2 per cell]
Sb 0.250 0.250 0.694 [2 per cell]
O 0.250 0.750 0.000 [2 per cell]

Principal peaks in the range 2θ from 15° to 90°, in order of falling intensity:
| index | 2θ/deg | d_spacing | intensity |
| --- | --- | --- | --- |
| 1 0 2 | 28.1 | 3.174 | 1000 |
| 1 0 3 | 35.1 | 2.559 | 402 |
| 2 0 0 | 43.0 | 2.105 | 363 |
| 2 1 2 | 52.1 | 1.754 | 360 |
| 1 1 0 | 30.0 | 2.977 | 321 |
| 2 1 3 | 56.6 | 1.625 | 201 |